# Bi
Calculated PXRD pattern, a wavelength of 1.5418 Å. Input: a crystal structure in the Materials Project, relaxed with GGA-PBE.

Top 4 peaks for 2θ from 5° to 70°, by angle:
2θ/deg  intensity  index
31.73  100.0  1 1 0
45.49  19.0  2 0 0
56.53  40.5  2 1 1
66.30  12.7  2 2 0

Crystal structure
abc: 3.9877 3.9877 3.9877
angles: 90.00 90.00 90.00
Space group Im-3m (No. 229)
Inequivalent atoms, fractional coordinates:
1 Bi 0.0000 0.0000 0.0000 (multiplicity 2)

# Cs2NaPrBr6
Calculated PXRD pattern, a wavelength of 1.5418 Å. Input: a crystal structure in the Materials Project, relaxed with GGA-PBE.

Top 12 peaks for 2θ from 5° to 70°, by angle:
2θ/deg  intensity  index
13.10  17.4  1 1 1
21.47  38.8  2 2 0
25.23  10.2  3 1 1
26.37  80.0  2 2 2
30.54  100.0  4 0 0
37.64  18.3  4 2 2
43.74  73.0  4 4 0
49.22  8.5  6 2 0
51.79  35.5  6 2 2
54.28  25.5  4 4 4
59.04  9.9  6 4 2
63.57  11.8  8 0 0

Crystal structure
abc: 11.7082 11.7082 11.7082
angles: 90.00 90.00 90.00
Space group Fm-3m (No. 225)
Inequivalent atoms, fractional coordinates:
1 Cs 0.2500 0.2500 0.2500 (multiplicity 8)
2 Na 0.0000 0.0000 0.0000 (multiplicity 4)
3 Pr 0.0000 0.0000 0.5000 (multiplicity 4)
4 Br 0.0000 0.0000 0.2517 (multiplicity 24)

# CaAlF5
Calculated PXRD pattern, a wavelength of 1.5418 Å. Input: a crystal structure in the Materials Project, relaxed with GGA-PBE.

Top 12 peaks for 2θ from 5° to 70°, by angle:
2θ/deg  intensity  index
22.25  100.0  2 0 0
27.73  88.0  1 1 -2
27.85  43.5  0 2 0
38.77  25.8  0 2 2
44.50  12.6  1 3 -1
45.40  37.2  4 0 0
48.97  28.3  2 0 -4
49.19  26.5  1 3 -2
50.90  21.8  2 2 2
54.03  18.7  5 1 -2
57.27  14.0  2 2 -4
69.09  14.6  2 0 4

Crystal structure
abc: 8.8194 6.4070 7.4398
angles: 90.00 115.03 90.00
Space group C2/c (No. 15)
Inequivalent atoms, fractional coordinates:
1 Ca 0.0000 0.0415 0.2500 (multiplicity 4)
2 Al 0.0000 0.5000 0.0000 (multiplicity 4)
3 F 0.0000 0.4420 0.2500 (multiplicity 4)
4 F 0.0111 0.2164 0.9739 (multiplicity 8)
5 F 0.2221 0.4829 0.6136 (multiplicity 8)

# ScTi9N9
Calculated PXRD pattern, a wavelength of 1.5418 Å. Input: a crystal structure in the Materials Project, relaxed with GGA-PBE.

Top 12 peaks for 2θ from 5° to 70°, by angle:
2θ/deg  intensity  index
13.72  0.6  0 0 1
15.51  0.5  0 1 0
18.12  1.0  1 0 0
19.04  1.2  0 1 1
20.35  1.1  1 0 1
21.21  0.7  1 1 1
22.36  0.8  0 1 -1
36.40  100.0  0 2 -1
42.20  44.6  1 0 3
42.32  88.6  2 2 0
61.29  37.1  1 2 -3
61.39  36.8  1 4 1

Crystal structure
abc: 5.2284 6.0434 6.7698
angles: 77.18 75.02 73.22
Space group P-1 (No. 2)
Inequivalent atoms, fractional coordinates:
1 Sc 0.0000 0.0000 0.0000 (multiplicity 1)
2 Ti 0.0000 0.5000 0.0000 (multiplicity 1)
3 Ti 0.1851 0.2973 0.6012 (multiplicity 2)
4 Ti 0.1921 0.8083 0.6055 (multiplicity 2)
5 Ti 0.3920 0.6039 0.1898 (multiplicity 2)
6 Ti 0.3960 0.1022 0.2066 (multiplicity 2)
7 N 0.0972 0.4012 0.3014 (multiplicity 2)
8 N 0.1022 0.8977 0.3062 (multiplicity 2)
9 N 0.3063 0.2056 0.8955 (multiplicity 2)
10 N 0.3065 0.6929 0.8985 (multiplicity 2)
11 N 0.5000 0.0000 0.5000 (multiplicity 1)

# Zr2CoTc
Calculated PXRD pattern, a wavelength of 1.5418 Å. Input: a crystal structure in the Materials Project, relaxed with GGA-PBE.

Top 6 peaks for 2θ from 5° to 70°, by angle:
2θ/deg  intensity  index
23.66  3.1  1 1 1
27.39  0.6  2 0 0
39.12  100.0  2 2 0
46.23  1.6  3 1 1
56.52  16.5  4 0 0
62.13  0.7  3 3 1

Crystal structure
abc: 6.5126 6.5126 6.5126
angles: 90.00 90.00 90.00
Space group Fm-3m (No. 225)
Inequivalent atoms, fractional coordinates:
1 Zr 0.2500 0.2500 0.2500 (multiplicity 8)
2 Co 0.0000 0.0000 0.0000 (multiplicity 4)
3 Tc 0.0000 0.0000 0.5000 (multiplicity 4)

# ThCrSb3
Calculated PXRD pattern, a wavelength of 1.5418 Å. Input: a crystal structure in the Materials Project, relaxed with GGA-PBE.

Top 12 peaks for 2θ from 5° to 70°, by angle:
2θ/deg  intensity  index
21.22  35.5  1 1 1
28.83  34.3  0 0 2
31.52  68.0  2 2 0
32.01  48.4  2 0 2
34.31  100.0  4 1 1
34.62  22.4  5 0 0
35.21  29.8  3 2 0
35.65  35.1  3 0 2
40.79  68.6  0 2 2
54.55  21.0  5 2 2
54.65  26.7  4 1 3
68.22  22.3  2 4 2

Crystal structure
abc: 12.9558 6.3152 6.2000
angles: 90.00 90.00 90.00
Space group Pbcm (No. 57)
Inequivalent atoms, fractional coordinates:
1 Th 0.1923 0.0036 0.2500 (multiplicity 4)
2 Cr 0.4067 0.7500 0.0000 (multiplicity 4)
3 Sb 0.0014 0.7500 0.0000 (multiplicity 4)
4 Sb 0.2696 0.5045 0.2500 (multiplicity 4)
5 Sb 0.4388 0.0952 0.2500 (multiplicity 4)

# CaC4O4
Calculated PXRD pattern, a wavelength of 1.5418 Å. Input: a crystal structure in the Materials Project, relaxed with GGA-PBE.

Top 12 peaks for 2θ from 5° to 70°, by angle:
2θ/deg  intensity  index
15.33  26.7  1 0 1
25.51  100.0  2 0 0
28.97  20.5  1 0 3
34.83  23.6  0 0 4
36.39  9.8  2 2 0
39.70  15.9  3 0 1
43.67  16.1  2 0 4
44.65  20.2  3 1 2
47.17  17.0  3 0 3
52.42  7.9  4 0 0
54.39  9.0  3 2 3
58.91  12.7  3 3 2

Crystal structure
abc: 6.9823 6.9823 10.3036
angles: 90.00 90.00 90.00
Space group I4_1/amd (No. 141, origin choice 2)
Inequivalent atoms, fractional coordinates:
1 Ca 0.0000 0.2500 0.3750 (multiplicity 4)
2 C 0.0000 0.2500 0.0740 (multiplicity 8)
3 C 0.0000 0.2500 0.8159 (multiplicity 8)
4 O 0.0000 0.0903 0.6170 (multiplicity 16)

# La2Ge2O7
Calculated PXRD pattern, a wavelength of 1.5418 Å. Input: a crystal structure in the Materials Project, relaxed with GGA-PBE.

Top 12 peaks for 2θ from 5° to 70°, by angle:
2θ/deg  intensity  index
25.03  24.2  0 2 0
26.04  11.4  2 0 -1
27.73  100.0  0 0 4
27.87  13.6  1 -2 0
28.34  20.8  2 1 0
28.66  52.4  2 0 -2
28.88  22.6  2 0 2
29.51  40.6  2 1 1
30.71  15.7  1 2 -2
30.94  13.6  2 -1 2
46.59  21.9  2 3 -1
52.71  11.5  2 3 3

Crystal structure
abc: 7.0839 7.1314 12.9136
angles: 94.10 90.38 91.01
Space group P-1 (No. 2)
Inequivalent atoms, fractional coordinates:
1 La 0.0512 0.3317 0.1167 (multiplicity 2)
2 La 0.1185 0.0865 0.3602 (multiplicity 2)
3 La 0.3336 0.8288 0.1068 (multiplicity 2)
4 La 0.3664 0.2381 0.6286 (multiplicity 2)
5 Ge 0.1471 0.6218 0.3849 (multiplicity 2)
6 Ge 0.1559 0.1481 0.8828 (multiplicity 2)
7 Ge 0.3758 0.7358 0.5973 (multiplicity 2)
8 Ge 0.4895 0.6730 0.8278 (multiplicity 2)
9 O 0.0051 0.0138 0.1832 (multiplicity 2)
10 O 0.0077 0.6681 0.0787 (multiplicity 2)
11 O 0.0354 0.2273 0.5686 (multiplicity 2)
12 O 0.0734 0.4134 0.3153 (multiplicity 2)
13 O 0.2232 0.9205 0.6215 (multiplicity 2)
14 O 0.2489 0.0969 0.0044 (multiplicity 2)
15 O 0.2922 0.7799 0.3168 (multiplicity 2)
16 O 0.2980 0.5660 0.4939 (multiplicity 2)
17 O 0.2984 0.7175 0.9108 (multiplicity 2)
18 O 0.3474 0.2158 0.8079 (multiplicity 2)
19 O 0.3534 0.4912 0.1262 (multiplicity 2)
20 O 0.3718 0.1353 0.2105 (multiplicity 2)
21 O 0.3951 0.5774 0.6988 (multiplicity 2)
22 O 0.4126 0.1646 0.4457 (multiplicity 2)

# Mg3Ga
Calculated PXRD pattern, a wavelength of 1.5418 Å. Input: a crystal structure in the Materials Project, relaxed with GGA-PBE.

Top 12 peaks for 2θ from 5° to 70°, by angle:
2θ/deg  intensity  index
20.34  10.1  0 0 2
22.77  31.0  1 0 1
28.92  8.7  1 1 0
35.62  100.0  1 1 2
37.12  9.0  1 0 3
41.36  49.0  2 0 0
46.51  4.7  2 0 2
47.73  8.7  2 1 1
51.26  3.5  1 1 4
56.78  7.6  2 1 3
59.93  31.4  2 2 0
63.97  2.2  2 2 2

Crystal structure
abc: 4.3660 4.3660 8.7314
angles: 90.00 90.00 90.00
Space group I4/mmm (No. 139)
Inequivalent atoms, fractional coordinates:
1 Mg 0.0000 0.0000 0.0000 (multiplicity 2)
2 Mg 0.0000 0.5000 0.2500 (multiplicity 4)
3 Ga 0.0000 0.0000 0.5000 (multiplicity 2)

# OsC2
Calculated PXRD pattern, a wavelength of 1.5418 Å. Input: a crystal structure in the Materials Project, relaxed with GGA-PBE.

Top 7 peaks for 2θ from 5° to 70°, by angle:
2θ/deg  intensity  index
22.14  77.6  0 0 1
36.12  68.5  1 0 0
42.77  100.0  1 0 1
45.17  12.0  0 0 2
59.15  39.4  1 0 2
64.95  16.5  1 1 0
69.53  21.5  1 1 1

Crystal structure
abc: 2.8717 2.8717 4.0146
angles: 90.00 90.00 120.00
Space group P-6m2 (No. 187)
Inequivalent atoms, fractional coordinates:
1 Os 0.0000 0.0000 0.0000 (multiplicity 1)
2 C 0.3333 0.6667 0.3200 (multiplicity 2)